# Ca2AlB2Ir5
Calculated PXRD pattern, Cu Kα (weighted mean of Kα1 and Kα2). Input: a crystal structure in Alexandria, relaxed with PBE.
Lines closer than 0.1° are merged.

Largest 6 diffraction maxima, sorted by position, 2θ from 15° to 90°:
| Position (°2θ) | I_rel |
| --- | --- |
| 28.93 | 54 |
| 29.92 | 100 |
| 33.10 | 55 |
| 38.02 | 98 |
| 42.10 | 89 |
| 45.21 | 62 |

```
data_Ca2AlB2Ir5
_symmetry_space_group_name_H-M 'P 1'
_symmetry_Int_Tables_number 1
_cell_length_a 9.759
_cell_length_b 9.759
_cell_length_c 2.987
_cell_angle_alpha 90.00
_cell_angle_beta 90.00
_cell_angle_gamma 90.00
loop_
_symmetry_equiv_pos_as_xyz
'x,y,z'
loop_
_atom_site_label
_atom_site_type_symbol
_atom_site_fract_x
_atom_site_fract_y
_atom_site_fract_z
Ca1 Ca 0.178 0.322 0.000
Ca2 Ca 0.322 0.822 0.000
Ca3 Ca 0.678 0.178 0.000
Ca4 Ca 0.822 0.678 0.000
Al1 Al 0.000 0.000 0.000
Al2 Al 0.500 0.500 0.000
B1 B 0.123 0.623 0.000
B2 B 0.377 0.123 0.000
B3 B 0.623 0.877 0.000
B4 B 0.877 0.377 0.000
Ir1 Ir 0.000 0.500 0.500
Ir2 Ir 0.066 0.782 0.500
Ir3 Ir 0.218 0.066 0.500
Ir4 Ir 0.282 0.566 0.500
Ir5 Ir 0.434 0.282 0.500
Ir6 Ir 0.500 0.000 0.500
Ir7 Ir 0.566 0.718 0.500
Ir8 Ir 0.718 0.434 0.500
Ir9 Ir 0.782 0.934 0.500
Ir10 Ir 0.934 0.218 0.500
```


# CaAlBO4
Calculated PXRD pattern, Cu Kα (weighted mean of Kα1 and Kα2). Input: a crystal structure in Alexandria, relaxed with PBE.
Lines closer than 0.1° are merged.

Largest 6 diffraction maxima, sorted by position, 2θ from 15° to 90°:
| Position (°2θ) | I_rel |
| --- | --- |
| 20.37 | 71 |
| 24.21 | 88 |
| 28.74 | 88 |
| 31.66 | 75 |
| 33.17 | 100 |
| 54.55 | 59 |

```
data_CaAlBO4
_symmetry_space_group_name_H-M 'P 1'
_symmetry_Int_Tables_number 1
_cell_length_a 8.728
_cell_length_b 8.728
_cell_length_c 5.807
_cell_angle_alpha 90.00
_cell_angle_beta 90.00
_cell_angle_gamma 122.60
loop_
_symmetry_equiv_pos_as_xyz
'x,y,z'
loop_
_atom_site_label
_atom_site_type_symbol
_atom_site_fract_x
_atom_site_fract_y
_atom_site_fract_z
Ca1 Ca 0.048 0.236 0.000
Ca2 Ca 0.236 0.048 0.500
Ca3 Ca 0.764 0.952 0.500
Ca4 Ca 0.952 0.764 0.000
Al1 Al 0.284 0.692 0.271
Al2 Al 0.308 0.716 0.771
Al3 Al 0.692 0.284 0.771
Al4 Al 0.716 0.308 0.271
B1 B 0.156 0.372 0.532
B2 B 0.372 0.156 0.032
B3 B 0.628 0.844 0.032
B4 B 0.844 0.628 0.532
O1 O 0.073 0.188 0.559
O2 O 0.178 0.451 0.315
O3 O 0.188 0.073 0.059
O4 O 0.203 0.733 0.018
O5 O 0.217 0.479 0.730
O6 O 0.267 0.797 0.518
O7 O 0.451 0.178 0.815
O8 O 0.479 0.217 0.230
O9 O 0.521 0.783 0.230
O10 O 0.549 0.822 0.815
O11 O 0.733 0.203 0.518
O12 O 0.783 0.521 0.730
O13 O 0.797 0.267 0.018
O14 O 0.812 0.927 0.059
O15 O 0.822 0.549 0.315
O16 O 0.927 0.812 0.559
```